Simulated X-ray powder pattern
Compound: Pr2Ge3Rh
Radiation: Cu Kα (λ = 1.5418 Å)
Structure: the GGA-PBE geometry in Alexandria
No peak broadening, texture or thermal motion is included.

Cell and atoms:
a = 8.478 Å, b = 8.581 Å, c = 14.826 Å
α = 90.00°, β = 90.00°, γ = 90.00°
Space group Fmmm (No. 69)
Unique sites:
Pr1 0.249 0.000 0.000 [8 per cell]
Pr2 0.250 0.250 0.250 [8 per cell]
Ge1 0.000 0.000 0.331 [8 per cell]
Ge2 0.000 0.247 0.085 [16 per cell]
Rh1 0.000 0.000 0.167 [8 per cell]

Top 8 peaks for 2θ from 5° to 70°, in order of rising 2θ:
(hkl), d (Å), I_rel
0 2 2, 3.711, 7
2 0 4, 2.792, 100
0 4 0, 2.143, 44
4 0 0, 2.119, 14
4 2 2, 1.840, 2
2 4 4, 1.701, 15
2 0 8, 1.698, 7
4 4 0, 1.507, 28

***

Simulated X-ray powder pattern
Compound: PrGe2Rh6
Radiation: Cu Kα (λ = 1.5418 Å)
Structure: the GGA-PBE geometry in Alexandria
No peak broadening, texture or thermal motion is included.

Cell and atoms:
a = 11.131 Å, b = 11.131 Å, c = 11.131 Å
α = 90.00°, β = 90.00°, γ = 90.00°
Space group Fd-3m (No. 227, origin choice 2)
Unique sites:
Pr1 0.125 0.125 0.125 [8 per cell]
Ge1 0.000 0.000 0.500 [16 per cell]
Rh1 0.124 0.375 0.375 [48 per cell]

Top 8 peaks for 2θ from 5° to 70°, in order of rising 2θ:
(hkl), d (Å), I_rel
3 1 1, 3.356, 32
2 2 2, 3.213, 7
4 0 0, 2.783, 63
5 1 1, 2.142, 13
4 4 0, 1.968, 100
4 4 4, 1.607, 16
5 5 3, 1.449, 8
8 0 0, 1.391, 16

***

Simulated X-ray powder pattern
Compound: Pr4GeRh
Radiation: Cu Kα (λ = 1.5418 Å)
Structure: the GGA-PBE geometry in Alexandria
No peak broadening, texture or thermal motion is included.

Cell and atoms:
a = 9.067 Å, b = 14.082 Å, c = 6.303 Å
α = 90.00°, β = 120.15°, γ = 90.00°
Space group C2/c (No. 15)
Unique sites:
Pr1 0.122 0.187 0.087 [8 per cell]
Pr2 0.211 0.436 0.304 [8 per cell]
Ge1 0.000 0.373 0.750 [4 per cell]
Rh1 0.000 0.001 0.250 [4 per cell]

Top 8 peaks for 2θ from 5° to 70°, in order of rising 2θ:
(hkl), d (Å), I_rel
1 1 -2, 3.030, 21
0 4 1, 2.956, 100
2 4 -1, 2.748, 44
1 5 0, 2.651, 31
1 3 -2, 2.588, 22
0 2 2, 2.541, 30
2 2 1, 2.455, 37
3 3 0, 2.283, 23